# 1
Starting from a GGA-PBE-relaxed structure, the powder diffraction line list of Ca4AsSe2Br was calculated for Cu Ka.
No peak broadening, texture or thermal motion is included.

```
data_Ca4AsSe2Br
_chemical_formula_sum 'Ca16 As4 Se8 Br4'
_symmetry_space_group_name_H-M 'F m m 2'
_symmetry_Int_Tables_number 42
_symmetry_space_group_name_Hall 'F 2 -2'
_cell_length_a 8.4486
_cell_length_b 12.1977
_cell_length_c 8.4470
_cell_angle_alpha 90.00
_cell_angle_beta 90.00
_cell_angle_gamma 90.00
loop_
_atom_site_label
_atom_site_fract_x
_atom_site_fract_y
_atom_site_fract_z
Ca1 0.0000 0.2326 0.0000
Ca2 0.2501 0.0000 0.2494
As1 0.0000 0.0000 0.9995
Se1 0.2500 0.2500 0.2501
Br1 0.0000 0.0000 0.4991
```

Most intense lines, 15 to 90 degrees two-theta, in order of rising 2θ:
- d = 3.472 Å, intensity 27.5, (2 2 0)
- d = 3.049 Å, intensity 51.2, (0 4 0)
- d = 2.987 Å, intensity 100.0, (2 0 2)
- d = 2.134 Å, intensity 72.0, (2 4 2)
- d = 2.112 Å, intensity 36.0, (4 0 0)
- d = 1.736 Å, intensity 36.8, (4 4 0)
- d = 1.358 Å, intensity 14.4, (2 8 2)
- d = 1.341 Å, intensity 15.1, (4 4 4)
- d = 1.336 Å, intensity 15.4, (6 0 2)
- d = 1.223 Å, intensity 22.2, (6 4 2)

***

# 2
Starting from a GGA-PBE-relaxed structure, the powder diffraction line list of Ac6Ga2Sn was calculated for Cu Ka.
No peak broadening, texture or thermal motion is included.

```
data_Ac6Ga2Sn
_chemical_formula_sum 'Ac24 Ga8 Sn4'
_symmetry_space_group_name_H-M 'I m m m'
_symmetry_Int_Tables_number 71
_symmetry_space_group_name_Hall '-I 2 2'
_cell_length_a 10.5968
_cell_length_b 10.9241
_cell_length_c 11.4835
_cell_angle_alpha 90.00
_cell_angle_beta 90.00
_cell_angle_gamma 90.00
loop_
_atom_site_label
_atom_site_fract_x
_atom_site_fract_y
_atom_site_fract_z
Ac1 0.0000 0.1980 0.2372
Ac2 0.2019 0.5000 0.1738
Ac3 0.2231 0.3213 0.5000
Ga1 0.0000 0.3658 0.0000
Ga2 0.0000 0.5000 0.3847
Sn1 0.0000 0.0000 0.0000
Sn2 0.0000 0.0000 0.5000
```

Most intense lines, 15 to 90 degrees two-theta, in order of rising 2θ:
- d = 3.611 Å, intensity 22.8, (0 1 3)
- d = 3.471 Å, intensity 21.3, (0 3 1)
- d = 3.361 Å, intensity 22.2, (3 1 0)
- d = 3.171 Å, intensity 100.0, (2 2 2)
- d = 2.985 Å, intensity 43.1, (2 1 3)
- d = 2.953 Å, intensity 44.3, (1 3 2)
- d = 2.903 Å, intensity 42.5, (2 3 1)
- d = 2.871 Å, intensity 28.5, (0 0 4)
- d = 2.649 Å, intensity 26.1, (4 0 0)
- d = 1.745 Å, intensity 26.0, (5 3 2)

***

# 3
Starting from a GGA-PBE-relaxed structure, the powder diffraction line list of Al9SiC7N was calculated for Cu Ka.
No peak broadening, texture or thermal motion is included.

```
data_Al9SiC7N
_chemical_formula_sum 'Al9 Si1 C7 N1'
_symmetry_space_group_name_H-M 'P 3 m 1'
_symmetry_Int_Tables_number 156
_cell_length_a 3.3240
_cell_length_b 3.3240
_cell_length_c 21.8092
_cell_angle_alpha 90.00
_cell_angle_beta 90.00
_cell_angle_gamma 120.00
loop_
_symmetry_equiv_pos_as_xyz
'x,y,z'
'-y,x-y,z'
'-x+y,-x,z'
'-y,-x,z'
'-x+y,y,z'
'x,x-y,z'
loop_
_atom_site_label
_atom_site_fract_x
_atom_site_fract_y
_atom_site_fract_z
Al1 0.0000 0.0000 0.0000
Al2 0.0000 0.0000 0.1888
Al3 0.0000 0.0000 0.4095
Al4 0.3333 0.6667 0.7158
Al5 0.3333 0.6667 0.9079
Al6 0.6667 0.3333 0.1042
Al7 0.6667 0.3333 0.2938
Al8 0.6667 0.3333 0.6111
Al9 0.6667 0.3333 0.8014
Si1 0.3333 0.6667 0.5014
C1 0.0000 0.0000 0.0886
C2 0.3333 0.6667 0.5812
C3 0.3333 0.6667 0.8195
C4 0.6667 0.3333 0.2051
C5 0.6667 0.3333 0.4555
C6 0.6667 0.3333 0.7030
C7 0.6667 0.3333 0.9545
N1 0.0000 0.0000 0.3255
```

Most intense lines, 15 to 90 degrees two-theta, in order of rising 2θ:
- d = 2.854 Å, intensity 97.0, (0 1 1)
- d = 2.783 Å, intensity 27.8, (1 0 2)
- d = 2.546 Å, intensity 26.8, (0 1 4)
- d = 2.403 Å, intensity 64.1, (1 0 5)
- d = 2.257 Å, intensity 73.0, (0 1 6)
- d = 2.181 Å, intensity 44.5, (0 0 10)
- d = 1.854 Å, intensity 30.7, (1 0 9)
- d = 1.662 Å, intensity 100.0, (1 1 0)
- d = 1.537 Å, intensity 33.1, (1 0 12)
- d = 1.322 Å, intensity 50.8, (1 1 10)

***

# 4
Starting from a GGA-PBE-relaxed structure, the powder diffraction line list of Nd8Ho6Er was calculated for Cu Ka.
No peak broadening, texture or thermal motion is included.

```
data_Nd8Ho6Er
_chemical_formula_sum 'Nd24 Ho18 Er3'
_symmetry_space_group_name_H-M 'R -3'
_symmetry_Int_Tables_number 148
_symmetry_space_group_name_Hall '-R 3'
_cell_length_a 9.1263
_cell_length_b 9.1263
_cell_length_c 20.9362
_cell_angle_alpha 90.00
_cell_angle_beta 90.00
_cell_angle_gamma 120.00
loop_
_atom_site_label
_atom_site_fract_x
_atom_site_fract_y
_atom_site_fract_z
Nd1 0.0000 0.0000 0.0779
Nd2 0.0810 0.5228 0.3065
Ho1 0.0471 0.8019 0.2055
Er1 0.0000 0.0000 0.5000
```

Most intense lines, 15 to 90 degrees two-theta, in order of rising 2θ:
- d = 2.957 Å, intensity 27.6, (2 1 1)
- d = 2.873 Å, intensity 100.0, (1 2 2)
- d = 2.797 Å, intensity 30.3, (1 0 7)
- d = 2.772 Å, intensity 12.8, (2 -1 6)
- d = 2.594 Å, intensity 12.8, (3 -1 4)
- d = 2.465 Å, intensity 13.2, (0 3 3)
- d = 1.744 Å, intensity 11.2, (0 3 9)
- d = 1.714 Å, intensity 10.8, (5 -2 4)
- d = 1.674 Å, intensity 11.2, (4 1 3)
- d = 1.490 Å, intensity 8.7, (2 4 1)

***

# 5
Starting from a GGA-PBE-relaxed structure, the powder diffraction line list of RbUNbO6 was calculated for Cu Ka.
No peak broadening, texture or thermal motion is included.

```
data_RbUNbO6
_chemical_formula_sum 'Rb4 U4 Nb4 O24'
_symmetry_space_group_name_H-M 'I m m a'
_symmetry_Int_Tables_number 74
_symmetry_space_group_name_Hall '-I 2b 2'
_cell_length_a 7.5390
_cell_length_b 7.9029
_cell_length_c 10.8583
_cell_angle_alpha 90.00
_cell_angle_beta 90.00
_cell_angle_gamma 90.00
loop_
_atom_site_label
_atom_site_fract_x
_atom_site_fract_y
_atom_site_fract_z
Rb1 0.0000 0.2500 0.1123
U1 0.0000 0.0000 0.5000
Nb1 0.2500 0.2500 0.7500
O1 0.0000 0.2500 0.4271
O2 0.0000 0.2500 0.8064
O3 0.1942 0.0670 0.6253
```

Most intense lines, 15 to 90 degrees two-theta, in order of rising 2θ:
- d = 3.331 Å, intensity 100.0, (1 2 1)
- d = 3.263 Å, intensity 40.8, (1 0 3)
- d = 3.247 Å, intensity 27.9, (2 1 1)
- d = 3.195 Å, intensity 50.3, (0 2 2)
- d = 3.096 Å, intensity 53.5, (2 0 2)
- d = 2.081 Å, intensity 21.4, (3 2 1)
- d = 1.924 Å, intensity 47.5, (2 2 4)
- d = 1.884 Å, intensity 18.6, (4 0 0)
- d = 1.666 Å, intensity 17.8, (2 4 2)
- d = 1.644 Å, intensity 18.1, (0 2 6)

***

# 6
Starting from a GGA-PBE-relaxed structure, the powder diffraction line list of MgTl2SnBr6 was calculated for Cu Ka.
No peak broadening, texture or thermal motion is included.

```
data_MgTl2SnBr6
_chemical_formula_sum 'Mg2 Tl4 Sn2 Br12'
_symmetry_space_group_name_H-M 'P 1 21/c 1'
_symmetry_Int_Tables_number 14
_cell_length_a 7.5857
_cell_length_b 7.9929
_cell_length_c 13.3235
_cell_angle_alpha 90.00
_cell_angle_beta 124.55
_cell_angle_gamma 90.00
loop_
_symmetry_equiv_pos_as_xyz
'x,y,z'
'-x,-y,-z'
'-x,y+1/2,-z+1/2'
'x,-y+1/2,z+1/2'
loop_
_atom_site_label
_atom_site_fract_x
_atom_site_fract_y
_atom_site_fract_z
Mg1 0.0000 0.0000 0.0000
Tl1 0.2756 0.0765 0.7495
Sn1 0.5000 0.0000 0.5000
Br1 0.1390 0.0203 0.2367
Br2 0.2312 0.7130 0.0488
Br3 0.3384 0.1860 0.0460
```

Most intense lines, 15 to 90 degrees two-theta, in order of rising 2θ:
- d = 4.919 Å, intensity 32.9, (1 1 0)
- d = 3.885 Å, intensity 75.9, (1 1 1)
- d = 3.269 Å, intensity 42.8, (2 1 -3)
- d = 3.230 Å, intensity 44.7, (0 2 2)
- d = 3.120 Å, intensity 47.7, (2 0 0)
- d = 3.046 Å, intensity 29.3, (1 1 -4)
- d = 2.747 Å, intensity 100.0, (0 0 4)
- d = 2.669 Å, intensity 29.8, (2 2 -1)
- d = 2.450 Å, intensity 43.8, (1 3 0)
- d = 2.207 Å, intensity 49.5, (3 1 -1)